BaMg14Zr: theoretical XRD peak list (Cu Ka), based on a cell relaxed with GGA-PBE.

Structural model:
Cell: 6.6681 6.6681 10.3556 Å, 90.00 90.00 120.00°
Space group P-6m2 (No. 187)
Unique sites:
1 Ba 0.0000 0.0000 0.0000 x1
2 Mg 0.0001 0.5000 0.5000 x3
3 Mg 0.0133 0.5066 0.0000 x3
4 Mg 0.1709 0.3418 0.2642 x6
5 Mg 0.6667 0.3333 0.2463 x2
6 Zr 0.0000 0.0000 0.5000 x1

Peak list (10 most intense, 2θ from 10° to 90°, by intensity)
2θ/deg, I/Imax
35.60, 100
15.34, 42
23.07, 37
30.97, 30
55.07, 25
34.65, 23
47.16, 21
66.74, 19
62.72, 17
31.93, 15

***

Sb2O3: theoretical XRD peak list (Cu Ka), based on a cell relaxed with GGA-PBE.

Structural model:
Cell: 3.354 13.273 4.029 Å, 90.00 90.00 90.00°
Space group Pmmn (No. 59, origin choice 2)
Unique sites:
1 Sb 0.250 0.116 0.147 x4
2 O 0.250 0.250 0.910 x2
3 O 0.250 0.572 0.121 x4

Peak list (10 most intense, 2θ from 10° to 90°, by intensity)
2θ/deg, I/Imax
22.06, 100
26.87, 89
27.43, 88
34.80, 75
44.51, 71
23.07, 59
30.00, 53
60.42, 47
33.53, 42
35.47, 34

***

K2CS2O6F2: theoretical XRD peak list (Cu Ka), based on a cell relaxed with GGA-PBE.

Structural model:
Cell: 10.096 6.153 14.802 Å, 90.00 110.01 90.00°
Space group P2_1/c (No. 14)
Unique sites:
1 K 0.040 0.224 0.335 x4
2 K 0.278 0.231 0.654 x4
3 C 0.308 0.700 0.948 x4
4 S 0.146 0.712 0.473 x4
5 S 0.301 0.741 0.821 x4
6 O 0.029 0.731 0.885 x4
7 O 0.150 0.660 0.057 x4
8 O 0.164 0.022 0.990 x4
9 O 0.213 0.559 0.769 x4
10 O 0.234 0.546 0.293 x4
11 O 0.447 0.731 0.825 x4
12 F 0.326 0.020 0.467 x4
13 F 0.422 0.696 0.510 x4

Peak list (10 most intense, 2θ from 10° to 90°, by intensity)
2θ/deg, I/Imax
28.15, 100
29.93, 85
19.26, 70
17.18, 65
23.29, 54
39.82, 52
29.02, 52
18.71, 33
35.57, 30
26.68, 29

***

Tm2B6Rh: theoretical XRD peak list (Cu Ka), based on a cell relaxed with GGA-PBE.

Structural model:
Cell: 9.117 11.437 3.622 Å, 90.00 90.00 90.00°
Space group Pbam (No. 55)
Unique sites:
1 Tm 0.055 0.126 0.000 x4
2 Tm 0.178 0.413 0.000 x4
3 B 0.017 0.288 0.500 x4
4 B 0.053 0.566 0.500 x4
5 B 0.110 0.970 0.500 x4
6 B 0.134 0.816 0.500 x4
7 B 0.205 0.235 0.500 x4
8 B 0.249 0.079 0.500 x4
9 Rh 0.140 0.679 0.000 x4

Peak list (10 most intense, 2θ from 10° to 90°, by intensity)
2θ/deg, I/Imax
24.57, 100
39.50, 52
39.61, 45
30.43, 40
30.57, 36
41.90, 33
40.18, 33
41.43, 31
31.28, 27
33.39, 26

***

HfTi3: theoretical XRD peak list (Cu Ka), based on a cell relaxed with GGA-PBE.

Structural model:
Cell: 6.0267 6.0267 4.7512 Å, 90.00 90.00 120.00°
Space group P6_3/mmc (No. 194)
Unique sites:
1 Hf 0.3333 0.6667 0.2500 x2
2 Ti 0.1613 0.3225 0.7500 x6

Peak list (10 most intense, 2θ from 10° to 90°, by intensity)
2θ/deg, I/Imax
39.39, 100
25.35, 54
37.87, 25
34.36, 25
29.65, 23
74.59, 19
69.42, 18
16.99, 17
61.55, 17
50.07, 16

***

SrCa3Ru4O12: theoretical XRD peak list (Cu Ka), based on a cell relaxed with GGA-PBE.

Structural model:
Cell: 5.473 7.793 5.610 Å, 90.00 90.08 90.00°
Space group Pm (No. 6)
Unique sites:
1 Sr 0.000 0.000 0.000 x1
2 Ca 0.021 0.500 0.097 x1
3 Ca 0.499 0.500 0.595 x1
4 Ca 0.522 0.000 0.494 x1
5 Ru 0.009 0.252 0.544 x2
6 Ru 0.510 0.253 0.044 x2
7 O 0.102 0.000 0.555 x1
8 O 0.209 0.300 0.840 x2
9 O 0.308 0.300 0.340 x2
10 O 0.442 0.000 0.072 x1
11 O 0.602 0.500 0.016 x1
12 O 0.705 0.206 0.743 x2
13 O 0.802 0.212 0.256 x2
14 O 0.918 0.500 0.519 x1

Peak list (10 most intense, 2θ from 10° to 90°, by intensity)
2θ/deg, I/Imax
32.41, 100
46.35, 29
22.70, 27
31.91, 25
32.72, 24
58.16, 23
57.18, 17
46.62, 16
67.85, 16
22.82, 12